For CoPO4, DFT lattice parameters and positions (GGA+U) gives the calculated XRD peak list in this record (a wavelength of 1.5418 Å).

Peak list (10 most intense, 10° ≤ 2θ ≤ 80°, sorted by position)
2theta  I/Imax  (hkl)
19.67  26  0 1 1
20.21  59  1 0 -2
21.14  39  1 1 0
23.08  32  1 0 2
23.70  100  1 1 1
27.92  15  2 0 -2
32.13  11  2 0 2
32.57  13  0 1 3
40.25  13  3 1 -1
43.12  13  2 1 3

Cell and atoms:
abc: 7.5362 5.0851 9.9061
angles: 90.00 98.19 90.00
Space group Pc (No. 7)
One atom of each set of equivalent atoms:
Co (0.0000, 0.1372, 0.0000) (multiplicity 2)
Co (0.4897, 0.3317, 0.3278) (multiplicity 2)
P (0.2294, 0.1666, 0.7570) (multiplicity 2)
P (0.7138, 0.3200, 0.0700) (multiplicity 2)
O (0.0674, 0.2130, 0.8348) (multiplicity 2)
O (0.1601, 0.0489, 0.6151) (multiplicity 2)
O (0.3263, 0.4235, 0.7339) (multiplicity 2)
O (0.3595, 0.0284, 0.3408) (multiplicity 2)
O (0.5695, 0.4953, 0.9873) (multiplicity 2)
O (0.6604, 0.2679, 0.2121) (multiplicity 2)
O (0.7468, 0.0560, 0.9951) (multiplicity 2)
O (0.9058, 0.4438, 0.0819) (multiplicity 2)